Record 1
Theoretical XRD peak list
Compound: K4Pu3BiTe8
Radiation: CuKα
Structure: the GGA-PBE geometry in Alexandria
Intensities are scaled so that the largest is 100.

The 10 most intense peaks (2θ = 10–80°), by angle:
d 8.193, I = 61
d 3.925, I = 15
d 3.338, I = 100
d 2.632, I = 22
d 2.431, I = 36
d 2.296, I = 38
d 2.210, I = 16
d 1.948, I = 13
d 1.892, I = 20
d 1.460, I = 17

Structure:
a b c (Å): 9.1824 9.1824 24.5784
angles (deg): 90.00 90.00 120.00
Space group R-3m (No. 166, hexagonal axes)
Inequivalent atoms, fractional coordinates:
K  0.0000  0.0000  0.0000
K  0.0000  0.5000  0.0000
Pu  0.0000  0.5000  0.5000
Bi  0.0000  0.0000  0.5000
Te  0.0000  0.0000  0.2357
Te  0.0029  0.5015  0.7633

=====

Record 2
Theoretical XRD peak list
Compound: TiNiOs2Au
Radiation: CuKα
Structure: the GGA-PBE geometry in Alexandria
Intensities are scaled so that the largest is 100.

The 10 most intense peaks (2θ = 10–80°), by angle:
d 4.309, I = 12
d 3.103, I = 26
d 2.549, I = 100
d 2.235, I = 53
d 2.155, I = 24
d 1.580, I = 18
d 1.551, I = 33
d 1.343, I = 28
d 1.308, I = 13
d 1.274, I = 17

Structure:
a b c (Å): 4.470 4.470 4.309
angles (deg): 90.00 90.00 90.00
Space group P4/mmm (No. 123)
Inequivalent atoms, fractional coordinates:
Ti  0.000  0.000  0.000
Ni  0.000  0.000  0.500
Os  0.000  0.500  0.500
Au  0.500  0.500  0.000

=====

Record 3
Theoretical XRD peak list
Compound: Li4BiO
Radiation: CuKα
Structure: the GGA-PBE geometry in Alexandria
Intensities are scaled so that the largest is 100.

The 10 most intense peaks (2θ = 10–80°), by angle:
d 5.106, I = 100
d 3.767, I = 30
d 3.472, I = 30
d 3.147, I = 60
d 2.943, I = 26
d 2.553, I = 23
d 2.476, I = 18
d 2.245, I = 27
d 2.200, I = 30
d 1.634, I = 21

Structure:
a b c (Å): 3.631 15.069 6.945
angles (deg): 90.00 90.00 90.00
Space group Cmc2_1 (No. 36)
Inequivalent atoms, fractional coordinates:
Li  0.000  0.000  0.000
Li  0.000  0.176  0.069
Li  0.000  0.176  0.428
Li  0.000  0.437  0.750
Bi  0.000  0.359  0.248
O  0.000  0.083  0.249

=====

Record 4
Theoretical XRD peak list
Compound: CeNdNi3
Radiation: CuKα
Structure: the GGA-PBE geometry in Alexandria
Intensities are scaled so that the largest is 100.

The 10 most intense peaks (2θ = 10–80°), by angle:
d 3.520, I = 20
d 3.226, I = 47
d 2.688, I = 40
d 2.558, I = 20
d 2.424, I = 100
d 2.384, I = 45
d 2.346, I = 66
d 2.066, I = 37
d 1.997, I = 23
d 1.661, I = 21

Structure:
a b c (Å): 5.342 6.452 5.490
angles (deg): 90.00 101.75 90.00
Space group P2_1/m (No. 11)
Inequivalent atoms, fractional coordinates:
Ce  0.083  0.250  0.331
Nd  0.340  0.750  0.266
Ni  0.207  0.060  0.858
Ni  0.474  0.750  0.792

=====

Record 5
Theoretical XRD peak list
Compound: BaSr3Ca7
Radiation: CuKα
Structure: the GGA-PBE geometry in Alexandria
Intensities are scaled so that the largest is 100.

The 10 most intense peaks (2θ = 10–80°), by angle:
d 6.557, I = 16
d 4.470, I = 28
d 3.768, I = 30
d 3.622, I = 45
d 3.283, I = 100
d 3.220, I = 36
d 3.100, I = 41
d 2.700, I = 31
d 2.594, I = 19
d 1.634, I = 23

Structure:
a b c (Å): 13.146 11.305 7.320
angles (deg): 90.00 93.97 90.00
Space group C2/m (No. 12)
Inequivalent atoms, fractional coordinates:
Ba  0.000  0.000  0.000
Sr  0.000  0.322  0.500
Sr  0.000  0.500  0.000
Ca  0.000  0.000  0.500
Ca  0.244  0.500  0.702
Ca  0.246  0.168  0.764

=====

Record 6
Theoretical XRD peak list
Compound: Dy4AlTlZn2
Radiation: CuKα
Structure: the GGA-PBE geometry in Alexandria
Intensities are scaled so that the largest is 100.

The 10 most intense peaks (2θ = 10–80°), by angle:
d 4.385, I = 10
d 3.642, I = 18
d 3.344, I = 10
d 2.580, I = 99
d 2.571, I = 100
d 1.821, I = 35
d 1.491, I = 17
d 1.485, I = 55
d 1.290, I = 11
d 1.285, I = 11

Structure:
a b c (Å): 5.1412 5.1412 25.3261
angles (deg): 90.00 90.00 120.00
Space group R-3m (No. 166, hexagonal axes)
Inequivalent atoms, fractional coordinates:
Dy  0.0000  0.0000  0.1215
Dy  0.0000  0.0000  0.3719
Al  0.0000  0.0000  0.0000
Tl  0.0000  0.0000  0.5000
Zn  0.0000  0.0000  0.2520

=====

Record 7
Theoretical XRD peak list
Compound: PrTh2NpN4
Radiation: CuKα
Structure: the GGA-PBE geometry in Alexandria
Intensities are scaled so that the largest is 100.

The 10 most intense peaks (2θ = 10–80°), by angle:
d 5.123, I = 1
d 4.582, I = 3
d 3.622, I = 1
d 2.958, I = 100
d 2.561, I = 67
d 2.236, I = 1
d 1.811, I = 48
d 1.545, I = 47
d 1.479, I = 16
d 1.281, I = 8

Structure:
a b c (Å): 5.123 5.123 10.245
angles (deg): 90.00 90.00 90.00
Space group I-4m2 (No. 119)
Inequivalent atoms, fractional coordinates:
Pr  0.000  0.000  0.000
Th  0.000  0.000  0.500
Th  0.000  0.500  0.250
Np  0.000  0.500  0.750
N  0.000  0.000  0.255
N  0.000  0.500  0.507

=====

Record 8
Theoretical XRD peak list
Compound: Ga2GeAu6
Radiation: CuKα
Structure: the GGA-PBE geometry in Alexandria
Intensities are scaled so that the largest is 100.

The 10 most intense peaks (2θ = 10–80°), by angle:
d 3.020, I = 32
d 2.923, I = 44
d 2.842, I = 30
d 2.604, I = 22
d 2.378, I = 73
d 2.245, I = 100
d 2.186, I = 67
d 2.119, I = 41
d 1.844, I = 24
d 1.301, I = 30

Structure:
a b c (Å): 11.832 4.755 7.645
angles (deg): 90.00 127.92 90.00
Space group C2/m (No. 12)
Inequivalent atoms, fractional coordinates:
Ga  0.136  0.000  0.467
Ge  0.000  0.000  0.000
Au  0.015  0.500  0.824
Au  0.170  0.000  0.850
Au  0.195  0.500  0.660

=====

Record 9
Theoretical XRD peak list
Compound: ReAg2Br
Radiation: CuKα
Structure: the GGA-PBE geometry in Alexandria
Intensities are scaled so that the largest is 100.

The 10 most intense peaks (2θ = 10–80°), by angle:
d 4.751, I = 12
d 2.449, I = 100
d 2.376, I = 23
d 2.104, I = 57
d 1.838, I = 9
d 1.506, I = 22
d 1.471, I = 12
d 1.283, I = 12
d 1.272, I = 18
d 1.224, I = 10

Structure:
a b c (Å): 3.0112 3.0112 28.5077
angles (deg): 90.00 90.00 120.00
Space group R3m (No. 160, hexagonal axes)
Inequivalent atoms, fractional coordinates:
Re  0.0000  0.0000  0.0000
Ag  0.0000  0.0000  0.2543
Ag  0.0000  0.0000  0.5066
Br  0.0000  0.0000  0.7343

=====

Record 10
Theoretical XRD peak list
Compound: NbFeTcHg
Radiation: CuKα
Structure: the GGA-PBE geometry in Alexandria
Intensities are scaled so that the largest is 100.

The 10 most intense peaks (2θ = 10–80°), by angle:
d 4.071, I = 11
d 2.298, I = 100
d 2.149, I = 20
d 2.036, I = 17
d 1.827, I = 12
d 1.478, I = 12
d 1.392, I = 10
d 1.360, I = 9
d 1.267, I = 15
d 1.220, I = 13

Structure:
a b c (Å): 3.655 4.071 4.297
angles (deg): 90.00 90.00 90.00
Space group Pmmm (No. 47)
Inequivalent atoms, fractional coordinates:
Nb  0.000  0.000  0.000
Fe  0.500  0.000  0.500
Tc  0.500  0.500  0.000
Hg  0.000  0.500  0.500

=====

Record 11
Theoretical XRD peak list
Compound: Dy3Pa4C8
Radiation: CuKα
Structure: the GGA-PBE geometry in Alexandria
Intensities are scaled so that the largest is 100.

The 10 most intense peaks (2θ = 10–80°), by angle:
d 5.847, I = 37
d 2.933, I = 100
d 2.920, I = 99
d 2.542, I = 87
d 2.520, I = 43
d 1.797, I = 46
d 1.789, I = 31
d 1.535, I = 16
d 1.530, I = 47
d 1.466, I = 16

Structure:
a b c (Å): 10.080 10.161 7.138
angles (deg): 90.00 134.56 90.00
Space group C2/m (No. 12)
Inequivalent atoms, fractional coordinates:
Dy  0.000  0.000  0.000
Dy  0.250  0.250  0.000
Pa  0.000  0.000  0.500
Pa  0.000  0.500  0.000
Pa  0.250  0.250  0.500
C  0.000  0.230  0.500
C  0.000  0.257  0.000
C  0.229  0.000  0.943
C  0.242  0.000  0.516

=====

Record 12
Theoretical XRD peak list
Compound: Zr4Bi2Pb
Radiation: CuKα
Structure: the GGA-PBE geometry in Alexandria
Intensities are scaled so that the largest is 100.

The 10 most intense peaks (2θ = 10–80°), by angle:
d 3.729, I = 93
d 2.895, I = 23
d 2.814, I = 65
d 2.450, I = 56
d 2.430, I = 100
d 2.162, I = 33
d 2.055, I = 22
d 1.780, I = 15
d 1.489, I = 15
d 1.478, I = 17

Structure:
a b c (Å): 9.189 9.189 8.868
angles (deg): 90.00 90.00 90.00
Space group I4_122 (No. 98)
Inequivalent atoms, fractional coordinates:
Zr  0.080  0.187  0.305
Bi  0.079  0.750  0.625
Pb  0.000  0.000  0.000